The following is a simulated powder diffraction line list of TaZnSn. It was derived from a cell relaxed with GGA-PBE, using copper Kα.
Neutral-atom scattering factors, no anomalous dispersion.

Structural model:
Cell lengths 5.912, 5.437, 7.003 Å; angles 90.00, 93.77, 90.00 degrees
Sites, in units of the cell vectors:
Ta: 0.222 0.108 0.497
Ta: 0.222 0.392 0.997
Ta: 0.778 0.608 0.003
Ta: 0.778 0.892 0.503
Zn: 0.067 0.576 0.332
Zn: 0.067 0.924 0.832
Zn: 0.933 0.076 0.168
Zn: 0.933 0.424 0.668
Sn: 0.395 0.630 0.664
Sn: 0.395 0.870 0.164
Sn: 0.605 0.130 0.836
Sn: 0.605 0.370 0.336

Top 10 peaks for 2θ = 5–70°, by angle:
two_theta  intensity
20.7  16
34.8  55
37.7  62
38.3  100
38.6  51
42.2  51
49.3  17
56.5  14
60.1  20
69.7  18

The following is a simulated powder diffraction line list of TbSn4. It was derived from a cell relaxed with GGA-PBE, using copper Kα.
Neutral-atom scattering factors, no anomalous dispersion.

Structural model:
Cell lengths 9.865, 9.865, 9.865 Å; angles 152.74, 141.99, 47.41 degrees
Sites, in units of the cell vectors:
Tb: 0.340 0.090 0.250
Tb: 0.660 0.910 0.750
Sn: 0.000 0.500 0.500
Sn: 0.153 0.903 0.250
Sn: 0.186 0.692 0.494
Sn: 0.302 0.308 0.994
Sn: 0.500 0.500 0.000
Sn: 0.698 0.692 0.006
Sn: 0.814 0.308 0.506
Sn: 0.847 0.097 0.750

Top 10 peaks for 2θ = 5–70°, by angle:
two_theta  intensity
31.4  98
34.3  100
38.7  30
41.1  33
50.5  11
52.7  14
57.7  29
65.5  12
66.8  23
67.1  19

The following is a simulated powder diffraction line list of Tb5Sn. It was derived from a cell relaxed with GGA-PBE, using copper Kα.
Neutral-atom scattering factors, no anomalous dispersion.

Structural model:
Cell lengths 4.848, 15.041, 4.881 Å; angles 90.00, 90.00, 90.00 degrees
Sites, in units of the cell vectors:
Tb: 0.000 0.000 0.000
Tb: 0.000 0.162 0.500
Tb: 0.000 0.334 0.000
Tb: 0.000 0.666 0.000
Tb: 0.000 0.838 0.500
Tb: 0.500 0.166 0.000
Tb: 0.500 0.338 0.500
Tb: 0.500 0.500 0.000
Tb: 0.500 0.662 0.500
Tb: 0.500 0.834 0.000
Sn: 0.000 0.500 0.500
Sn: 0.500 0.000 0.500

Top 10 peaks for 2θ = 5–70°, by angle:
two_theta  intensity
31.5  100
35.8  18
36.8  17
37.1  16
52.3  12
52.5  12
61.7  15
63.1  14
63.4  14
65.9  12

The following is a simulated powder diffraction line list of Tb5Sn3. It was derived from a cell relaxed with GGA-PBE, using copper Kα.
Neutral-atom scattering factors, no anomalous dispersion.

Structural model:
Cell lengths 9.110, 9.110, 9.110 Å; angles 96.57, 96.57, 140.46 degrees
Sites, in units of the cell vectors:
Tb: 0.081 0.782 0.863
Tb: 0.218 0.081 0.300
Tb: 0.250 0.750 0.500
Tb: 0.282 0.581 0.863
Tb: 0.419 0.282 0.700
Tb: 0.581 0.718 0.300
Tb: 0.718 0.419 0.137
Tb: 0.750 0.250 0.500
Tb: 0.782 0.919 0.700
Tb: 0.919 0.218 0.137
Sn: 0.162 0.338 0.500
Sn: 0.250 0.250 0.000
Sn: 0.338 0.838 0.176
Sn: 0.662 0.162 0.824
Sn: 0.750 0.750 0.000
Sn: 0.838 0.662 0.500

Top 10 peaks for 2θ = 5–70°, by angle:
two_theta  intensity
29.0  22
30.3  57
32.6  48
33.0  61
33.8  100
35.9  40
53.4  15
54.5  26
61.9  14
63.0  19

The following is a simulated powder diffraction line list of Tb3Sn2. It was derived from a cell relaxed with GGA-PBE, using copper Kα.
Neutral-atom scattering factors, no anomalous dispersion.

Structural model:
Cell lengths 12.060, 4.406, 11.537 Å; angles 90.00, 90.00, 90.00 degrees
Sites, in units of the cell vectors:
Tb: 0.051 0.250 0.131
Tb: 0.127 0.750 0.559
Tb: 0.226 0.250 0.794
Tb: 0.274 0.750 0.294
Tb: 0.373 0.250 0.059
Tb: 0.449 0.750 0.631
Tb: 0.551 0.250 0.369
Tb: 0.627 0.750 0.941
Tb: 0.726 0.250 0.706
Tb: 0.774 0.750 0.206
Tb: 0.873 0.250 0.441
Tb: 0.949 0.750 0.869
Sn: 0.010 0.750 0.317
Sn: 0.188 0.750 0.995
Sn: 0.312 0.250 0.495
Sn: 0.490 0.250 0.817
Sn: 0.510 0.750 0.183
Sn: 0.688 0.750 0.505
Sn: 0.812 0.250 0.005
Sn: 0.990 0.250 0.683

Top 10 peaks for 2θ = 5–70°, by angle:
two_theta  intensity
27.0  61
29.5  82
30.9  100
31.1  54
31.8  59
33.5  48
34.0  82
37.0  52
38.0  50
41.0  77

The following is a simulated powder diffraction line list of Tb4SnTe. It was derived from a cell relaxed with GGA-PBE, using copper Kα.
Neutral-atom scattering factors, no anomalous dispersion.

Structural model:
Cell lengths 6.423, 7.471, 9.000 Å; angles 103.93, 110.89, 90.05 degrees
Sites, in units of the cell vectors:
Tb: 0.022 0.049 0.345
Tb: 0.176 0.451 0.655
Tb: 0.268 0.370 0.225
Tb: 0.456 0.870 0.224
Tb: 0.544 0.130 0.776
Tb: 0.732 0.630 0.775
Tb: 0.824 0.549 0.345
Tb: 0.978 0.951 0.655
Sn: 0.342 0.750 0.500
Sn: 0.658 0.250 0.500
Te: 0.000 0.000 0.000
Te: 0.500 0.500 0.000

Top 10 peaks for 2θ = 5–70°, by angle:
two_theta  intensity
21.5  20
22.6  25
30.1  71
31.3  90
35.8  37
36.0  100
36.1  20
39.0  43
41.4  35
58.9  21

The following is a simulated powder diffraction line list of Tb6Sn3Te. It was derived from a cell relaxed with GGA-PBE, using copper Kα.
Neutral-atom scattering factors, no anomalous dispersion.

Structural model:
Cell lengths 9.389, 9.389, 7.542 Å; angles 90.00, 90.00, 104.20 degrees
Sites, in units of the cell vectors:
Tb: 0.000 0.000 0.000
Tb: 0.000 0.000 0.500
Tb: 0.092 0.544 0.017
Tb: 0.255 0.745 0.620
Tb: 0.277 0.365 0.605
Tb: 0.365 0.277 0.105
Tb: 0.456 0.908 0.017
Tb: 0.544 0.092 0.517
Tb: 0.635 0.723 0.605
Tb: 0.723 0.635 0.105
Tb: 0.745 0.255 0.120
Tb: 0.908 0.456 0.517
Sn: 0.069 0.282 0.270
Sn: 0.282 0.069 0.770
Sn: 0.417 0.583 0.900
Sn: 0.583 0.417 0.400
Sn: 0.718 0.931 0.270
Sn: 0.931 0.718 0.770
Te: 0.169 0.831 0.252
Te: 0.831 0.169 0.752

Top 10 peaks for 2θ = 5–70°, by angle:
two_theta  intensity
22.8  40
26.7  32
30.8  78
31.0  34
31.8  100
33.9  99
38.3  42
43.5  41
47.3  26
50.7  22

The following is a simulated powder diffraction line list of TbSn5Te7. It was derived from a cell relaxed with GGA-PBE, using copper Kα.
Neutral-atom scattering factors, no anomalous dispersion.

Structural model:
Cell lengths 7.831, 7.831, 26.070 Å; angles 90.00, 90.00, 147.45 degrees
Sites, in units of the cell vectors:
Tb: 0.208 0.792 0.500
Tb: 0.792 0.208 0.000
Sn: 0.013 0.987 0.260
Sn: 0.257 0.743 0.836
Sn: 0.286 0.714 0.187
Sn: 0.443 0.557 0.612
Sn: 0.475 0.525 0.412
Sn: 0.525 0.475 0.912
Sn: 0.557 0.443 0.112
Sn: 0.714 0.286 0.687
Sn: 0.743 0.257 0.336
Sn: 0.987 0.013 0.760
Te: 0.073 0.927 0.655
Te: 0.118 0.882 0.385
Te: 0.173 0.827 0.942
Te: 0.205 0.795 0.078
Te: 0.349 0.651 0.724
Te: 0.377 0.623 0.299
Te: 0.436 0.564 0.015
Te: 0.564 0.436 0.515
Te: 0.623 0.377 0.799
Te: 0.651 0.349 0.224
Te: 0.795 0.205 0.578
Te: 0.827 0.173 0.442
Te: 0.882 0.118 0.885
Te: 0.927 0.073 0.155

Top 10 peaks for 2θ = 5–70°, by angle:
two_theta  intensity
26.7  66
27.9  100
28.9  90
37.7  44
38.8  32
39.9  33
40.3  34
40.7  32
41.1  42
49.7  29

- Number 2 is which compound?
  TbSn4